1.
Diffraction record for Tb2GaTe. The X-ray powder pattern is calculated, not measured: it uses a structure optimized by DFT (GGA-PBE) and Cu Kα, 1.54184 Å.
Neutral-atom scattering factors, no anomalous dispersion.

Structural model:
```
Tb2GaTe
1.0
2.0604 1.1895 7.5761
-2.0604 1.1895 7.5761
0.0000 -2.3791 7.5761
Tb Ga Te
2 1 1
direct
0.2452 0.2452 0.2452
0.7548 0.7548 0.7548
0.5000 0.5000 0.5000
0.0000 0.0000 0.0000
```

Main lines, in order of rising 2θ (2θ = 5–70°):
2θ (°), Rel. int.
23.5, 2.8
26.2, 7.0
29.6, 100.0
31.9, 3.0
40.6, 41.3
43.9, 34.1
48.0, 8.1
50.4, 2.3
53.9, 18.6
57.7, 2.1
61.4, 12.2
67.1, 17.7

***

2.
Diffraction record for CaLa3Ru. The X-ray powder pattern is calculated, not measured: it uses a structure optimized by DFT (GGA-PBE) and Cu Kα, 1.54184 Å.
Neutral-atom scattering factors, no anomalous dispersion.

Structural model:
```
CaLa3Ru
1.0
4.0075 -7.9322 0.0000
4.0075 7.9322 0.0000
-3.8260 0.0000 5.6562
Ca La Ru
2 6 2
direct
0.0592 0.9408 0.5000
0.9408 0.0592 0.0000
0.2114 0.8333 0.0097
0.3291 0.7105 0.4921
0.4395 0.5566 0.9860
0.5566 0.4395 0.4860
0.7105 0.3291 0.9921
0.8333 0.2114 0.5097
0.1032 0.4578 0.0040
0.4578 0.1032 0.5040
```

Main lines, in order of rising 2θ (2θ = 5–70°):
2θ (°), Rel. int.
11.2, 31.9
14.5, 24.3
14.8, 26.5
26.9, 31.3
27.5, 59.8
27.7, 28.8
31.6, 51.4
31.8, 100.0
44.9, 39.2
45.3, 20.9
46.0, 35.3
53.8, 20.1

***

3.
Diffraction record for LiTb2Sb. The X-ray powder pattern is calculated, not measured: it uses a structure optimized by DFT (GGA-PBE) and Cu Kα, 1.54184 Å.
Neutral-atom scattering factors, no anomalous dispersion.

Structural model:
```
LiTb2Sb
1.0
-3.4128 4.1910 3.5467
3.4128 -4.1910 3.5467
3.4128 4.1910 -3.5467
Li Tb Sb
2 4 2
direct
0.2926 0.0426 0.2500
0.7074 0.9574 0.7500
0.2270 0.0000 0.7270
0.2270 0.5000 0.2270
0.7730 0.0000 0.2730
0.7730 0.5000 0.7730
0.2884 0.5384 0.7500
0.7116 0.4616 0.2500
```

Main lines, in order of rising 2θ (2θ = 5–70°):
2θ (°), Rel. int.
18.0, 33.2
21.2, 27.0
25.1, 24.2
28.0, 22.9
33.1, 99.3
33.9, 100.0
36.5, 80.9
42.6, 21.1
43.2, 21.2
57.8, 44.0
63.1, 35.4
64.6, 28.7